Pm6DyTe8: theoretical X-ray diffraction stick pattern (a wavelength of 1.5418 Å), based on a crystal structure in Alexandria, relaxed with GGA-PBE.
Intensities are scaled so that the largest is 100.

Largest 6 diffraction maxima, most intense first, 2θ = 10–80°:
- 28.39 deg, d = 3.143 Å, rel. 100.0
- 40.59 deg, d = 2.223 Å, rel. 76.2
- 66.52 deg, d = 1.406 Å, rel. 35.1
- 50.28 deg, d = 1.815 Å, rel. 27.3
- 73.85 deg, d = 1.283 Å, rel. 25.9
- 58.75 deg, d = 1.572 Å, rel. 12.8

Structure:
Cell: 8.890 8.890 8.890 Å, 60.00 60.00 60.00°
Sites, in units of the cell vectors:
Pm 0.000 0.000 0.500
Pm 0.000 0.500 0.000
Pm 0.000 0.500 0.500
Pm 0.500 0.000 0.000
Pm 0.500 0.000 0.500
Pm 0.500 0.500 0.000
Dy 0.000 0.000 0.000
Te 0.250 0.250 0.250
Te 0.251 0.251 0.749
Te 0.251 0.749 0.251
Te 0.251 0.749 0.749
Te 0.749 0.251 0.251
Te 0.749 0.251 0.749
Te 0.749 0.749 0.251
Te 0.750 0.750 0.750

=====

BeMo3: theoretical X-ray diffraction stick pattern (a wavelength of 1.5418 Å), based on a crystal structure in Alexandria, relaxed with GGA-PBE.
Intensities are scaled so that the largest is 100.

Largest 6 diffraction maxima, most intense first, 2θ = 10–80°:
- 42.99 deg, d = 2.104 Å, rel. 100.0
- 39.82 deg, d = 2.264 Å, rel. 67.5
- 32.23 deg, d = 2.777 Å, rel. 42.0
- 74.48 deg, d = 1.274 Å, rel. 38.3
- 57.57 deg, d = 1.601 Å, rel. 22.0
- 27.86 deg, d = 3.202 Å, rel. 16.7

Structure:
Cell: 3.202 3.202 5.581 Å, 90.00 90.00 90.00°
Sites, in units of the cell vectors:
Be 0.000 0.000 0.000
Mo 0.000 0.000 0.500
Mo 0.500 0.500 0.223
Mo 0.500 0.500 0.777

=====

Zr2ZnPdPt5: theoretical X-ray diffraction stick pattern (a wavelength of 1.5418 Å), based on a crystal structure in Alexandria, relaxed with GGA-PBE.
Intensities are scaled so that the largest is 100.

Largest 6 diffraction maxima, most intense first, 2θ = 10–80°:
- 41.08 deg, d = 2.197 Å, rel. 100.0
- 31.40 deg, d = 2.849 Å, rel. 79.1
- 35.79 deg, d = 2.509 Å, rel. 74.1
- 47.32 deg, d = 1.921 Å, rel. 32.9
- 35.23 deg, d = 2.548 Å, rel. 32.5
- 53.74 deg, d = 1.706 Å, rel. 30.6

Structure:
Cell: 7.742 7.742 7.742 Å, 117.29 117.29 94.76°
Sites, in units of the cell vectors:
Zr 0.121 0.621 0.742
Zr 0.379 0.121 0.500
Zr 0.621 0.879 0.500
Zr 0.879 0.379 0.258
Zn 0.250 0.250 0.000
Zn 0.750 0.750 0.000
Pd 0.250 0.750 0.500
Pd 0.750 0.250 0.500
Pt 0.000 0.000 0.000
Pt 0.064 0.169 0.500
Pt 0.169 0.669 0.105
Pt 0.331 0.436 0.500
Pt 0.436 0.936 0.105
Pt 0.500 0.500 0.000
Pt 0.564 0.064 0.895
Pt 0.669 0.564 0.500
Pt 0.831 0.331 0.895
Pt 0.936 0.831 0.500

=====

PmDy2Tm5: theoretical X-ray diffraction stick pattern (a wavelength of 1.5418 Å), based on a crystal structure in Alexandria, relaxed with GGA-PBE.
Intensities are scaled so that the largest is 100.

Largest 6 diffraction maxima, most intense first, 2θ = 10–80°:
- 32.56 deg, d = 2.750 Å, rel. 100.0
- 29.64 deg, d = 3.014 Å, rel. 84.1
- 33.01 deg, d = 2.714 Å, rel. 82.8
- 29.31 deg, d = 3.047 Å, rel. 47.2
- 31.02 deg, d = 2.883 Å, rel. 44.7
- 31.26 deg, d = 2.861 Å, rel. 42.6

Structure:
Cell: 5.731 10.987 8.437 Å, 90.00 106.70 90.00°
Sites, in units of the cell vectors:
Pm 0.011 0.250 0.349
Pm 0.989 0.750 0.651
Dy 0.376 0.614 0.461
Dy 0.376 0.886 0.461
Dy 0.624 0.114 0.539
Dy 0.624 0.386 0.539
Tm 0.177 0.079 0.715
Tm 0.177 0.421 0.715
Tm 0.265 0.750 0.080
Tm 0.300 0.078 0.120
Tm 0.300 0.422 0.120
Tm 0.700 0.578 0.880
Tm 0.700 0.922 0.880
Tm 0.735 0.250 0.920
Tm 0.823 0.579 0.285
Tm 0.823 0.921 0.285

=====

AcYB12: theoretical X-ray diffraction stick pattern (a wavelength of 1.5418 Å), based on a crystal structure in Alexandria, relaxed with GGA-PBE.
Intensities are scaled so that the largest is 100.

Largest 6 diffraction maxima, most intense first, 2θ = 10–80°:
- 30.43 deg, d = 2.937 Å, rel. 100.0
- 21.39 deg, d = 4.154 Å, rel. 67.8
- 49.03 deg, d = 1.858 Å, rel. 50.6
- 37.50 deg, d = 2.398 Å, rel. 42.1
- 54.07 deg, d = 1.696 Å, rel. 28.6
- 67.66 deg, d = 1.385 Å, rel. 28.3

Structure:
Cell: 4.156 4.156 8.303 Å, 90.00 90.00 90.00°
Sites, in units of the cell vectors:
Ac 0.000 0.000 0.000
Y 0.000 0.000 0.500
B 0.200 0.500 0.254
B 0.200 0.500 0.746
B 0.500 0.200 0.254
B 0.500 0.200 0.746
B 0.500 0.500 0.102
B 0.500 0.500 0.402
B 0.500 0.500 0.598
B 0.500 0.500 0.898
B 0.500 0.800 0.254
B 0.500 0.800 0.746
B 0.800 0.500 0.254
B 0.800 0.500 0.746

=====

BiPd3: theoretical X-ray diffraction stick pattern (a wavelength of 1.5418 Å), based on a crystal structure in Alexandria, relaxed with GGA-PBE.
Intensities are scaled so that the largest is 100.

Largest 6 diffraction maxima, most intense first, 2θ = 10–80°:
- 40.21 deg, d = 2.243 Å, rel. 100.0
- 36.60 deg, d = 2.455 Å, rel. 43.6
- 37.66 deg, d = 2.389 Å, rel. 35.6
- 76.17 deg, d = 1.250 Å, rel. 26.6
- 45.68 deg, d = 1.986 Å, rel. 22.8
- 63.43 deg, d = 1.467 Å, rel. 22.5

Structure:
Cell: 9.555 5.861 5.085 Å, 90.00 90.00 90.00°
Sites, in units of the cell vectors:
Bi 0.000 0.000 0.000
Bi 0.250 0.500 0.351
Bi 0.500 0.000 0.000
Bi 0.750 0.500 0.649
Pd 0.000 0.251 0.500
Pd 0.000 0.500 0.000
Pd 0.000 0.749 0.500
Pd 0.250 0.000 0.354
Pd 0.250 0.251 0.840
Pd 0.250 0.749 0.840
Pd 0.500 0.251 0.500
Pd 0.500 0.500 0.000
Pd 0.500 0.749 0.500
Pd 0.750 0.000 0.646
Pd 0.750 0.251 0.160
Pd 0.750 0.749 0.160